Record 1
Structure and simulated X-ray diffraction stick pattern of MgAl4H12O12 (a DFT-relaxed cell (GGA-PBE, the Materials Project); Cu Kα X-rays).
Lines closer than 0.1° are merged.

Main lines, sorted by position (2θ = 10–90°):
d 5.164, 17.17 deg, intensity 1000
d 4.529, 19.60 deg, intensity 443
d 4.479, 19.82 deg, intensity 278
d 4.435, 20.02 deg, intensity 243
d 3.514, 25.35 deg, intensity 242
d 2.381, 37.79 deg, intensity 207
d 2.298, 39.20 deg, intensity 404
d 2.264, 39.81 deg, intensity 419
d 1.906, 47.71 deg, intensity 253
d 1.463, 63.59 deg, intensity 121

Atomic structure:
```
data_MgAl4H12O12
_cell_length_a 5.1846
_cell_length_b 6.9635
_cell_length_c 7.4986
_cell_angle_alpha 76.72
_cell_angle_beta 71.27
_cell_angle_gamma 71.36
_symmetry_space_group_name_H-M 'P 1'
_symmetry_Int_Tables_number 1
_symmetry_space_group_name_Hall 'P 1'
loop_
_atom_site_label
_atom_site_fract_x
_atom_site_fract_y
_atom_site_fract_z
Mg1 0.0000 0.0000 0.0000
Al1 0.0462 0.4824 0.0317
Al2 0.0842 0.7877 0.6710
Al3 0.5096 0.3308 0.2141
Al4 0.5718 0.9655 0.5196
H1 0.1381 0.2462 0.5027
H2 0.3013 0.4144 0.6862
H3 0.3067 0.7036 0.1123
H4 0.3436 0.8610 0.3078
H5 0.3492 0.0850 0.0741
H6 0.3906 0.8681 0.8700
H7 0.6439 0.8146 0.9866
H8 0.6471 0.5768 0.3298
H9 0.6862 0.1239 0.7349
H10 0.7562 0.4006 0.8524
H11 0.9306 0.1008 0.2945
H12 0.9635 0.6407 0.4462
O1 0.2420 0.5690 0.1600
O2 0.2607 0.5179 0.7681
O3 0.3009 0.9187 0.7480
O4 0.3026 0.2315 0.1064
O5 0.3355 0.2468 0.4741
O6 0.3728 0.8293 0.4380
O7 0.7443 0.4612 0.2573
O8 0.7808 0.0611 0.2689
O9 0.8032 0.0513 0.6274
O10 0.8282 0.3253 0.9615
O11 0.8627 0.7165 0.5544
O12 0.8683 0.7683 0.9453
```

Record 2
Structure and simulated X-ray diffraction stick pattern of MgAl4H12O12 (a DFT-relaxed cell (GGA-PBE, the Materials Project); Cu Kα X-rays).
Lines closer than 0.1° are merged.

Main lines, sorted by position (2θ = 10–90°):
d 6.730, 13.16 deg, intensity 85
d 4.804, 18.47 deg, intensity 1000
d 4.533, 19.58 deg, intensity 236
d 2.322, 38.79 deg, intensity 329
d 2.280, 39.53 deg, intensity 326
d 2.274, 39.63 deg, intensity 337
d 1.797, 50.82 deg, intensity 157
d 1.759, 51.97 deg, intensity 128
d 1.745, 52.44 deg, intensity 84
d 1.494, 62.11 deg, intensity 81

Atomic structure:
```
data_MgAl4H12O12
_cell_length_a 5.1918
_cell_length_b 6.9562
_cell_length_c 7.2104
_cell_angle_alpha 85.46
_cell_angle_beta 69.20
_cell_angle_gamma 68.71
_symmetry_space_group_name_H-M 'P 1'
_symmetry_Int_Tables_number 1
_symmetry_space_group_name_Hall 'P 1'
loop_
_atom_site_label
_atom_site_fract_x
_atom_site_fract_y
_atom_site_fract_z
Mg1 0.0000 0.0000 0.0000
Al1 0.2968 0.2623 0.1263
Al2 0.3290 0.7384 0.6317
Al3 0.6289 0.4310 0.2887
Al4 0.6396 0.8993 0.7926
H1 0.1890 0.7474 0.3137
H2 0.3225 0.2757 0.7658
H3 0.4078 0.1602 0.4435
H4 0.5229 0.5194 0.9682
H5 0.5419 0.8780 0.1732
H6 0.7514 0.8546 0.4176
H7 0.8145 0.4594 0.5597
H8 0.9313 0.1449 0.6580
H9 0.9574 0.0671 0.3426
H10 0.9739 0.6348 0.1851
H11 0.9739 0.8083 0.2447
H12 0.9852 0.5830 0.8731
O1 0.3234 0.1759 0.8687
O2 0.3471 0.2882 0.3742
O3 0.3650 0.7062 0.3606
O4 0.3742 0.7664 0.8717
O5 0.5751 0.3921 0.0443
O6 0.5792 0.9044 0.5480
O7 0.5912 0.9757 0.0712
O8 0.6275 0.4642 0.5527
O9 0.9576 0.0078 0.7085
O10 0.9660 0.1648 0.2380
O11 0.9667 0.5008 0.1437
O12 0.9905 0.6569 0.7501
```

Record 3
Structure and simulated X-ray diffraction stick pattern of MgAl4H12O12 (a DFT-relaxed cell (GGA-PBE, the Materials Project); Cu Kα X-rays).
Lines closer than 0.1° are merged.

Main lines, sorted by position (2θ = 10–90°):
d 6.668, 13.28 deg, intensity 145
d 4.950, 17.92 deg, intensity 1000
d 4.524, 19.62 deg, intensity 327
d 3.328, 26.79 deg, intensity 149
d 2.322, 38.79 deg, intensity 302
d 2.308, 39.02 deg, intensity 305
d 2.300, 39.16 deg, intensity 314
d 1.796, 50.85 deg, intensity 133
d 1.788, 51.08 deg, intensity 119
d 1.509, 61.45 deg, intensity 143

Atomic structure:
```
data_MgAl4H12O12
_cell_length_a 5.2191
_cell_length_b 7.1647
_cell_length_c 7.2009
_cell_angle_alpha 78.15
_cell_angle_beta 69.19
_cell_angle_gamma 68.95
_symmetry_space_group_name_H-M 'P 1'
_symmetry_Int_Tables_number 1
_symmetry_space_group_name_Hall 'P 1'
loop_
_atom_site_label
_atom_site_fract_x
_atom_site_fract_y
_atom_site_fract_z
Mg1 0.0000 0.0000 0.0000
Al1 0.0729 0.5703 0.2411
Al2 0.1077 0.2276 0.5585
Al3 0.5807 0.7382 0.0706
Al4 0.6372 0.0682 0.7136
H1 0.1630 0.8276 0.3863
H2 0.2095 0.3792 0.7930
H3 0.3385 0.1224 0.0917
H4 0.3893 0.8594 0.6188
H5 0.4069 0.5749 0.8734
H6 0.5159 0.2638 0.2367
H7 0.6536 0.8953 0.3302
H8 0.6652 0.4973 0.5250
H9 0.8041 0.1940 0.1819
H10 0.8479 0.3684 0.1288
H11 0.8728 0.6909 0.7110
H12 0.8810 0.1285 0.3447
O1 0.2798 0.7065 0.3126
O2 0.2985 0.3036 0.2815
O3 0.3293 0.6578 0.9843
O4 0.3353 0.3138 0.6714
O5 0.3753 0.0221 0.0012
O6 0.4370 0.9837 0.5731
O7 0.7752 0.8292 0.2047
O8 0.8067 0.7944 0.8023
O9 0.8487 0.1710 0.7969
O10 0.8567 0.5030 0.5088
O11 0.8780 0.5044 0.0972
O12 0.9361 0.0765 0.4710
```

Record 4
Structure and simulated X-ray diffraction stick pattern of MgAl4H12O12 (a DFT-relaxed cell (GGA-PBE, the Materials Project); Cu Kα X-rays).
Lines closer than 0.1° are merged.

Main lines, sorted by position (2θ = 10–90°):
d 6.532, 13.56 deg, intensity 250
d 4.847, 18.30 deg, intensity 1000
d 4.622, 19.20 deg, intensity 258
d 4.253, 20.89 deg, intensity 213
d 3.804, 23.38 deg, intensity 316
d 3.733, 23.84 deg, intensity 230
d 2.499, 35.93 deg, intensity 470
d 2.439, 36.85 deg, intensity 263
d 1.942, 46.79 deg, intensity 265
d 1.923, 47.26 deg, intensity 211

Atomic structure:
```
data_MgAl4H12O12
_cell_length_a 5.2323
_cell_length_b 6.5933
_cell_length_c 7.0270
_cell_angle_alpha 85.81
_cell_angle_beta 77.77
_cell_angle_gamma 82.70
_symmetry_space_group_name_H-M 'P 1'
_symmetry_Int_Tables_number 1
_symmetry_space_group_name_Hall 'P 1'
loop_
_atom_site_label
_atom_site_fract_x
_atom_site_fract_y
_atom_site_fract_z
Mg1 0.0000 0.0000 0.0000
Al1 0.0946 0.0242 0.4916
Al2 0.2227 0.3341 0.1622
Al3 0.5896 0.8773 0.6557
Al4 0.7515 0.5203 0.0025
H1 0.2683 0.2102 0.7148
H2 0.3162 0.7182 0.9348
H3 0.3675 0.6795 0.4429
H4 0.3874 0.9554 0.1413
H5 0.4329 0.4294 0.8045
H6 0.5524 0.3935 0.3499
H7 0.6915 0.1252 0.1808
H8 0.7295 0.0511 0.2642
H9 0.7453 0.1818 0.7767
H10 0.8577 0.7504 0.2501
H11 0.9480 0.4248 0.4980
H12 0.9890 0.6626 0.6877
O1 0.0048 0.3130 0.9985
O2 0.2671 0.0555 0.2240
O3 0.3180 0.7684 0.5544
O4 0.3572 0.1281 0.6044
O5 0.3726 0.8548 0.9080
O6 0.4751 0.4720 0.2477
O7 0.4817 0.3964 0.9301
O8 0.8084 0.6316 0.7454
O9 0.8367 0.0438 0.7531
O10 0.8410 0.8865 0.4369
O11 0.8925 0.7146 0.1066
O12 0.9847 0.3167 0.4048
```